Diffraction record for Sm3Ho3Co4. The powder diffractogram is calculated, not measured: it uses the PBE geometry in Alexandria and a wavelength of 1.5418 Å.
Peak positions follow from Bragg's law for the DFT cell and can differ from measured ones.

Top 8 peaks for 10 to 80 degrees two-theta, in order of rising 2θ:
hkl 0 1 3, 2θ = 27.41°, I = 31
hkl 0 3 1, 2θ = 27.54°, I = 29
hkl 1 2 2, 2θ = 32.64°, I = 100
hkl 1 1 3, 2θ = 34.88°, I = 78
hkl 1 3 1, 2θ = 35.04°, I = 78
hkl 0 2 4, 2θ = 39.13°, I = 30
hkl 0 4 2, 2θ = 39.33°, I = 30
hkl 2 0 0, 2θ = 43.21°, I = 34

Atomic structure:
a b c (Å): 4.1876 10.2282 10.3111
angles (deg): 90.00 90.00 90.00
Space group Amm2 (No. 38)
Inequivalent atoms, fractional coordinates:
Sm: 0.0000 0.0000 0.0000 [2 per cell]
Sm: 0.5000 0.2491 0.0831 [4 per cell]
Ho: 0.0000 0.0000 0.6579 [2 per cell]
Ho: 0.0000 0.1703 0.3330 [4 per cell]
Co: 0.5000 0.0000 0.2321 [2 per cell]
Co: 0.5000 0.0000 0.4499 [2 per cell]
Co: 0.5000 0.1104 0.8253 [4 per cell]

---

Diffraction record for AcLaPr2Nd2. The powder diffractogram is calculated, not measured: it uses the PBE geometry in Alexandria and a wavelength of 1.5418 Å.
Peak positions follow from Bragg's law for the DFT cell and can differ from measured ones.

Top 8 peaks for 10 to 80 degrees two-theta, in order of rising 2θ:
hkl 2 0 2, 2θ = 29.86°, I = 99
hkl 0 2 0, 2θ = 30.20°, I = 100
hkl 2 2 2, 2θ = 42.99°, I = 37
hkl 4 0 0, 2θ = 49.45°, I = 9
hkl 2 3 1, 2θ = 53.40°, I = 26
hkl 0 3 3, 2θ = 53.55°, I = 27
hkl 4 2 0, 2θ = 59.05°, I = 30
hkl 4 3 3, 2θ = 75.90°, I = 10

Atomic structure:
a b c (Å): 7.3724 5.9295 10.2297
angles (deg): 90.00 90.00 90.00
Space group Pmma (No. 51)
Inequivalent atoms, fractional coordinates:
Ac: 0.0000 0.0000 0.0000 [2 per cell]
La: 0.2500 0.5000 0.1708 [2 per cell]
Pr: 0.0000 0.5000 0.5000 [2 per cell]
Pr: 0.2500 0.0000 0.6633 [2 per cell]
Nd: 0.2500 0.0000 0.3353 [2 per cell]
Nd: 0.2500 0.5000 0.8309 [2 per cell]

---

Diffraction record for PuPd3Cl9. The powder diffractogram is calculated, not measured: it uses the PBE geometry in Alexandria and a wavelength of 1.5418 Å.
Peak positions follow from Bragg's law for the DFT cell and can differ from measured ones.

Top 8 peaks for 10 to 80 degrees two-theta, in order of rising 2θ:
hkl 2 0 -2, 2θ = 12.96°, I = 58
hkl 1 1 -1, 2θ = 13.47°, I = 74
hkl 1 1 1, 2θ = 17.56°, I = 100
hkl 1 1 -2, 2θ = 18.18°, I = 42
hkl 4 0 -2, 2θ = 18.29°, I = 64
hkl 4 0 -4, 2θ = 26.09°, I = 45
hkl 2 2 0, 2θ = 26.57°, I = 70
hkl 4 2 -2, 2θ = 30.13°, I = 40

Atomic structure:
a b c (Å): 19.4983 7.4959 13.7088
angles (deg): 90.00 129.58 90.00
Space group Cc (No. 9)
Inequivalent atoms, fractional coordinates:
Pu: 0.0000 0.2297 0.0000 [4 per cell]
Pd: 0.1021 0.0818 0.8311 [4 per cell]
Pd: 0.2439 0.4904 0.6058 [4 per cell]
Pd: 0.2478 0.0338 0.7534 [4 per cell]
Cl: 0.0005 0.2882 0.8051 [4 per cell]
Cl: 0.1004 0.0645 0.5660 [4 per cell]
Cl: 0.1257 0.4665 0.1251 [4 per cell]
Cl: 0.2012 0.1170 0.3500 [4 per cell]
Cl: 0.2243 0.2597 0.9830 [4 per cell]
Cl: 0.2925 0.1858 0.6560 [4 per cell]
Cl: 0.3582 0.4483 0.3404 [4 per cell]
Cl: 0.3963 0.0172 0.9398 [4 per cell]
Cl: 0.4860 0.3857 0.6763 [4 per cell]

---

Diffraction record for PmPrPd6. The powder diffractogram is calculated, not measured: it uses the PBE geometry in Alexandria and a wavelength of 1.5418 Å.
Peak positions follow from Bragg's law for the DFT cell and can differ from measured ones.

Top 8 peaks for 10 to 80 degrees two-theta, in order of rising 2θ:
hkl 2 0 0, 2θ = 33.30°, I = 45
hkl 2 1 0, 2θ = 37.36°, I = 96
hkl 2 1 1, 2θ = 41.08°, I = 100
hkl 2 2 2, 2θ = 59.50°, I = 5
hkl 3 0 2, 2θ = 62.19°, I = 21
hkl 3 1 2, 2θ = 64.82°, I = 51
hkl 4 0 0, 2θ = 69.92°, I = 17
hkl 4 2 0, 2θ = 79.68°, I = 14

Atomic structure:
a b c (Å): 5.3818 5.3818 5.3818
angles (deg): 90.00 90.00 90.00
Space group Pm-3 (No. 200)
Inequivalent atoms, fractional coordinates:
Pm: 0.0000 0.0000 0.0000 [1 per cell]
Pr: 0.5000 0.5000 0.5000 [1 per cell]
Pd: 0.0000 0.2491 0.5000 [6 per cell]